[1]
# Ca3NdH8
Calculated XRD peak list, Cu Kα (λ = 1.5418 Å). Input: a structure optimized by DFT (GGA-PBE).

Largest 6 diffraction maxima, in order of falling intensity, 5° ≤ 2θ ≤ 70°:
2θ 28.55, I 100, hkl 1 1 1; 2θ 33.08, I 46, hkl 2 0 0; 2θ 56.34, I 41, hkl 3 1 1; 2θ 16.37, I 38, hkl 1 0 0; 2θ 47.48, I 37, hkl 2 2 0; 2θ 23.23, I 34, hkl 1 1 0

Structural model:
a b c (Å): 5.416 5.416 5.416
angles (deg): 90.00 90.00 90.00
Space group Pm-3m (No. 221)
Symmetry-distinct sites (fractional):
Ca 0.000 0.000 0.500 x3
Nd 0.500 0.500 0.500 x1
H 0.250 0.250 0.250 x8

---

[2]
# PmNi12
Calculated XRD peak list, Cu Kα (λ = 1.5418 Å). Input: a structure optimized by DFT (GGA-PBE).

Largest 6 diffraction maxima, in order of falling intensity, 5° ≤ 2θ ≤ 70°:
2θ 43.95, I 100, hkl 4 0 0; 2θ 44.26, I 46, hkl 2 0 2; 2θ 37.87, I 28, hkl 3 0 1; 2θ 49.73, I 22, hkl 2 2 2; 2θ 30.77, I 19, hkl 2 1 1; 2θ 49.44, I 16, hkl 4 2 0

Structural model:
a b c (Å): 8.251 8.251 4.714
angles (deg): 90.00 90.00 90.00
Space group I4/mmm (No. 139)
Symmetry-distinct sites (fractional):
Pm 0.000 0.000 0.000 x2
Ni 0.000 0.228 0.500 x8
Ni 0.000 0.355 0.000 x8
Ni 0.250 0.250 0.250 x8

---

[3]
# HoPuAsS
Calculated XRD peak list, Cu Kα (λ = 1.5418 Å). Input: a structure optimized by DFT (GGA-PBE).

Largest 6 diffraction maxima, in order of falling intensity, 5° ≤ 2θ ≤ 70°:
2θ 31.40, I 100, hkl 1 0 4; 2θ 27.02, I 45, hkl 0 1 2; 2θ 44.78, I 38, hkl 1 1 0; 2θ 45.22, I 36, hkl 0 1 8; 2θ 55.71, I 20, hkl 0 2 4; 2θ 53.28, I 15, hkl 1 1 6

Structural model:
a b c (Å): 4.0480 4.0480 19.5563
angles (deg): 90.00 90.00 120.00
Space group R3m (No. 160, hexagonal axes)
Symmetry-distinct sites (fractional):
Ho 0.0000 0.0000 0.0000 x3
Pu 0.0000 0.0000 0.5043 x3
As 0.0000 0.0000 0.7509 x3
S 0.0000 0.0000 0.2528 x3

---

[4]
# ScAlCu
Calculated XRD peak list, Cu Kα (λ = 1.5418 Å). Input: a structure optimized by DFT (GGA-PBE).

Largest 6 diffraction maxima, in order of falling intensity, 5° ≤ 2θ ≤ 70°:
2θ 38.93, I 100, hkl 1 0 3; 2θ 41.42, I 44, hkl 1 1 0; 2θ 16.89, I 19, hkl 0 0 2; 2θ 30.21, I 14, hkl 1 0 1; 2θ 60.01, I 14, hkl 2 0 0; 2θ 68.78, I 13, hkl 1 1 6

Structural model:
a b c (Å): 3.083 3.083 10.501
angles (deg): 90.00 90.00 90.00
Space group I4mm (No. 107)
Symmetry-distinct sites (fractional):
Sc 0.000 0.000 0.000 x2
Al 0.000 0.000 0.696 x2
Cu 0.000 0.000 0.325 x2

---

[5]
# ReOs6Ru2
Calculated XRD peak list, Cu Kα (λ = 1.5418 Å). Input: a structure optimized by DFT (GGA-PBE).

Largest 6 diffraction maxima, in order of falling intensity, 5° ≤ 2θ ≤ 70°:
2θ 37.25, I 100, hkl 1 1 2; 2θ 44.23, I 98, hkl 2 0 -4; 2θ 42.51, I 63, hkl 4 2 -3; 2θ 41.29, I 54, hkl 5 1 -2; 2θ 41.38, I 47, hkl 5 1 -3; 2θ 45.46, I 43, hkl 3 3 -2

Structural model:
a b c (Å): 11.657 7.090 8.761
angles (deg): 90.00 131.34 90.00
Space group C2/c (No. 15)
Symmetry-distinct sites (fractional):
Re 0.000 0.127 0.250 x4
Os 0.083 0.474 0.199 x8
Os 0.199 0.298 0.589 x8
Os 0.212 0.135 0.866 x8
Ru 0.047 0.171 0.987 x8

---

[6]
# Ca2ZnSi2Rh5
Calculated XRD peak list, Cu Kα (λ = 1.5418 Å). Input: a structure optimized by DFT (GGA-PBE).

Largest 6 diffraction maxima, in order of falling intensity, 5° ≤ 2θ ≤ 70°:
2θ 39.92, I 100, hkl 3 1 1; 2θ 37.03, I 55, hkl 4 1 0; 2θ 43.00, I 40, hkl 3 2 1; 2θ 40.29, I 30, hkl 4 2 0; 2θ 27.69, I 25, hkl 0 0 1; 2θ 37.76, I 25, hkl 2 2 1

Structural model:
a b c (Å): 10.011 10.011 3.222
angles (deg): 90.00 90.00 90.00
Space group P4/mbm (No. 127)
Symmetry-distinct sites (fractional):
Ca 0.173 0.327 0.000 x4
Zn 0.000 0.000 0.000 x2
Si 0.128 0.628 0.000 x4
Rh 0.000 0.500 0.500 x2
Rh 0.067 0.792 0.500 x8

---

[7]
# Li6Tl3In2
Calculated XRD peak list, Cu Kα (λ = 1.5418 Å). Input: a structure optimized by DFT (GGA-PBE).

Largest 6 diffraction maxima, in order of falling intensity, 5° ≤ 2θ ≤ 70°:
2θ 26.54, I 100, hkl 1 0 5; 2θ 39.06, I 71, hkl 1 0 11; 2θ 31.70, I 67, hkl 1 1 0; 2θ 61.44, I 38, hkl 2 1 11; 2θ 23.89, I 36, hkl 1 0 3; 2θ 11.39, I 36, hkl 0 0 4

Structural model:
a b c (Å): 3.992 3.992 31.082
angles (deg): 90.00 90.00 90.00
Space group I4/mmm (No. 139)
Symmetry-distinct sites (fractional):
Li 0.000 0.000 0.219 x4
Li 0.000 0.500 0.119 x8
Tl 0.000 0.000 0.312 x4
Tl 0.000 0.000 0.500 x2
In 0.000 0.000 0.051 x4

---

[8]
# Fe3Ge7
Calculated XRD peak list, Cu Kα (λ = 1.5418 Å). Input: a structure optimized by DFT (GGA-PBE).

Largest 6 diffraction maxima, in order of falling intensity, 5° ≤ 2θ ≤ 70°:
2θ 45.74, I 100, hkl 3 3 0; 2θ 40.09, I 47, hkl 3 2 1; 2θ 37.01, I 45, hkl 2 2 2; 2θ 33.68, I 41, hkl 3 1 0; 2θ 66.69, I 18, hkl 6 0 0; 2θ 53.33, I 18, hkl 4 2 2

Structural model:
a b c (Å): 8.415 8.415 8.415
angles (deg): 90.00 90.00 90.00
Space group Im-3m (No. 229)
Symmetry-distinct sites (fractional):
Fe 0.000 0.000 0.345 x12
Ge 0.000 0.250 0.500 x12
Ge 0.160 0.160 0.160 x16

---

[9]
# SrAu4
Calculated XRD peak list, Cu Kα (λ = 1.5418 Å). Input: a structure optimized by DFT (GGA-PBE).

Largest 6 diffraction maxima, in order of falling intensity, 5° ≤ 2θ ≤ 70°:
2θ 39.12, I 100, hkl 4 1 1; 2θ 31.73, I 63, hkl 2 2 2; 2θ 18.16, I 44, hkl 2 0 0; 2θ 34.35, I 40, hkl 3 2 1; 2θ 43.45, I 26, hkl 3 3 2; 2θ 58.22, I 20, hkl 5 3 2

Structural model:
a b c (Å): 9.769 9.769 9.769
angles (deg): 90.00 90.00 90.00
Space group I-43m (No. 217)
Symmetry-distinct sites (fractional):
Sr 0.214 0.214 0.214 x8
Au 0.000 0.000 0.352 x12
Au 0.000 0.250 0.500 x12
Au 0.106 0.106 0.894 x8

---

[10]
# LaNpTl2O8
Calculated XRD peak list, Cu Kα (λ = 1.5418 Å). Input: a structure optimized by DFT (GGA-PBE).

Largest 6 diffraction maxima, in order of falling intensity, 5° ≤ 2θ ≤ 70°:
2θ 23.37, I 100, hkl 0 2 0; 2θ 29.74, I 91, hkl 1 1 -2; 2θ 24.26, I 87, hkl 2 0 0; 2θ 31.06, I 76, hkl 1 1 2; 2θ 45.27, I 71, hkl 1 3 -2; 2θ 33.94, I 56, hkl 2 2 0

Structural model:
a b c (Å): 7.351 7.613 7.090
angles (deg): 90.00 93.64 90.00
Space group C2/m (No. 12)
Symmetry-distinct sites (fractional):
La 0.000 0.000 0.000 x2
Np 0.000 0.000 0.500 x2
Tl 0.008 0.500 0.251 x4
O 0.002 0.171 0.708 x8
O 0.187 0.500 0.980 x4
O 0.203 0.500 0.488 x4

---

[11]
# TbSmZnRh
Calculated XRD peak list, Cu Kα (λ = 1.5418 Å). Input: a structure optimized by DFT (GGA-PBE).

Largest 6 diffraction maxima, in order of falling intensity, 5° ≤ 2θ ≤ 70°:
2θ 31.68, I 100, hkl 1 1 1; 2θ 39.80, I 56, hkl 1 1 3; 2θ 33.95, I 37, hkl 0 1 3; 2θ 40.98, I 29, hkl 2 0 0; 2θ 33.44, I 24, hkl 0 0 4; 2θ 39.36, I 22, hkl 1 0 4

Structural model:
a b c (Å): 4.405 3.920 10.719
angles (deg): 90.00 90.00 90.00
Space group Amm2 (No. 38)
Symmetry-distinct sites (fractional):
Tb 0.000 0.000 0.000 x2
Sm 0.500 0.000 0.279 x2
Zn 0.000 0.000 0.709 x2
Rh 0.500 0.000 0.563 x2

---

[12]
# Ac2ScAs4Pt3
Calculated XRD peak list, Cu Kα (λ = 1.5418 Å). Input: a structure optimized by DFT (GGA-PBE).

Largest 6 diffraction maxima, in order of falling intensity, 5° ≤ 2θ ≤ 70°:
2θ 32.15, I 100, hkl 1 0 3; 2θ 32.72, I 93, hkl 1 1 2; 2θ 39.89, I 79, hkl 2 0 0; 2θ 52.12, I 53, hkl 2 1 3; 2θ 27.92, I 37, hkl 1 1 0; 2θ 57.69, I 27, hkl 2 2 0

Structural model:
a b c (Å): 4.520 4.520 10.605
angles (deg): 90.00 90.00 90.00
Space group P-4m2 (No. 115)
Symmetry-distinct sites (fractional):
Ac 0.000 0.500 0.232 x2
Sc 0.000 0.000 0.500 x1
As 0.000 0.000 0.000 x1
As 0.000 0.500 0.640 x2
As 0.500 0.500 0.000 x1
Pt 0.000 0.500 0.885 x2
Pt 0.500 0.500 0.500 x1

---

[13]
# CsSb2IO
Calculated XRD peak list, Cu Kα (λ = 1.5418 Å). Input: a structure optimized by DFT (GGA-PBE).

Largest 6 diffraction maxima, in order of falling intensity, 5° ≤ 2θ ≤ 70°:
2θ 28.59, I 100, hkl 1 1 1; 2θ 21.65, I 58, hkl 0 0 2; 2θ 43.87, I 35, hkl 2 0 2; 2θ 42.52, I 34, hkl 1 1 3; 2θ 37.68, I 27, hkl 2 0 0; 2θ 62.55, I 21, hkl 3 1 1

Structural model:
a b c (Å): 4.775 4.775 8.209
angles (deg): 90.00 90.00 90.00
Space group P4/mmm (No. 123)
Symmetry-distinct sites (fractional):
Cs 0.000 0.000 0.000 x1
Sb 0.000 0.500 0.500 x2
I 0.500 0.500 0.000 x1
O 0.500 0.500 0.500 x1